# SmMg5Sb4
Theoretical powder diffractogram, Cu Kα. Input: the PBE geometry in the Materials Project.
Kinematic intensities with the Lorentz-polarization factor, no thermal factor.

The 6 most intense peaks (2θ = 10–90°), by angle:
25.16 deg, I 100; 33.04 deg, I 64; 38.54 deg, I 61; 43.38 deg, I 35; 46.59 deg, I 19; 51.65 deg, I 18

abc: 4.6716 4.6716 14.6082
angles: 90.00 90.00 120.00
Atoms (fractional coordinates):
Sm (0.0000, 0.0000, 0.0000)
Mg (0.0000, 0.0000, 0.5000)
Mg (0.3333, 0.6667, 0.3281)
Mg (0.3333, 0.6667, 0.8087)
Mg (0.6667, 0.3333, 0.1913)
Mg (0.6667, 0.3333, 0.6719)
Sb (0.3333, 0.6667, 0.1242)
Sb (0.3333, 0.6667, 0.6100)
Sb (0.6667, 0.3333, 0.3900)
Sb (0.6667, 0.3333, 0.8758)


# Zn2GeS3
Theoretical powder diffractogram, Cu Kα. Input: the PBE geometry in the Materials Project.
Kinematic intensities with the Lorentz-polarization factor, no thermal factor.

The 6 most intense peaks (2θ = 10–90°), by angle:
25.37 deg, I 39; 28.02 deg, I 100; 31.72 deg, I 19; 43.77 deg, I 43; 47.11 deg, I 40; 54.26 deg, I 27

abc: 3.8580 3.8580 10.5329
angles: 90.00 90.00 120.00
Atoms (fractional coordinates):
Zn (0.0000, 0.0000, 0.0000)
Zn (0.3333, 0.6667, 0.7033)
Ge (0.6667, 0.3333, 0.3518)
S (0.0000, 0.0000, 0.2329)
S (0.3333, 0.6667, 0.9363)
S (0.6667, 0.3333, 0.6365)


# LuTlS2
Theoretical powder diffractogram, Cu Kα. Input: the PBE geometry in the Materials Project.
Kinematic intensities with the Lorentz-polarization factor, no thermal factor.

The 6 most intense peaks (2θ = 10–90°), by angle:
23.64 deg, I 34; 27.22 deg, I 66; 30.54 deg, I 100; 41.46 deg, I 39; 45.91 deg, I 33; 48.30 deg, I 26

abc: 3.9536 3.9536 22.5819
angles: 90.00 90.00 120.00
Atoms (fractional coordinates):
Lu (0.0000, 0.0000, 0.0000)
Lu (0.3333, 0.6667, 0.6667)
Lu (0.6667, 0.3333, 0.3333)
Tl (0.0000, 0.0000, 0.5000)
Tl (0.3333, 0.6667, 0.1667)
Tl (0.6667, 0.3333, 0.8333)
S (0.0000, 0.0000, 0.2689)
S (0.0000, 0.0000, 0.7311)
S (0.3333, 0.6667, 0.3978)
S (0.3333, 0.6667, 0.9356)
S (0.6667, 0.3333, 0.0644)
S (0.6667, 0.3333, 0.6022)


# Si
Theoretical powder diffractogram, Cu Kα. Input: the PBE geometry in the Materials Project.
Kinematic intensities with the Lorentz-polarization factor, no thermal factor.

The 6 most intense peaks (2θ = 10–90°), by angle:
19.41 deg, I 100; 21.28 deg, I 68; 32.76 deg, I 83; 36.21 deg, I 34; 52.15 deg, I 84; 55.38 deg, I 44

abc: 10.2274 10.2274 10.2274
angles: 90.00 90.00 90.00
Atoms (fractional coordinates):
Si (0.0000, 0.1172, 0.3079)
Si (0.0000, 0.1172, 0.6921)
Si (0.0000, 0.2500, 0.5000)
Si (0.0000, 0.7500, 0.5000)
Si (0.0000, 0.8828, 0.3079)
Si (0.0000, 0.8828, 0.6921)
Si (0.1172, 0.3079, 0.0000)
Si (0.1172, 0.6921, 0.0000)
Si (0.1836, 0.1836, 0.1836)
Si (0.1836, 0.1836, 0.8164)
Si (0.1836, 0.8164, 0.1836)
Si (0.1836, 0.8164, 0.8164)
Si (0.1921, 0.3828, 0.5000)
Si (0.1921, 0.6172, 0.5000)
Si (0.2500, 0.5000, 0.0000)
Si (0.3079, 0.0000, 0.1172)
Si (0.3079, 0.0000, 0.8828)
Si (0.3164, 0.3164, 0.3164)
Si (0.3164, 0.3164, 0.6836)
Si (0.3164, 0.6836, 0.3164)
Si (0.3164, 0.6836, 0.6836)
Si (0.3828, 0.5000, 0.1921)
Si (0.3828, 0.5000, 0.8079)
Si (0.5000, 0.0000, 0.2500)
Si (0.5000, 0.0000, 0.7500)
Si (0.5000, 0.1921, 0.3828)
Si (0.5000, 0.1921, 0.6172)
Si (0.5000, 0.8079, 0.3828)
Si (0.5000, 0.8079, 0.6172)
Si (0.6172, 0.5000, 0.1921)
Si (0.6172, 0.5000, 0.8079)
Si (0.6836, 0.3164, 0.3164)
Si (0.6836, 0.3164, 0.6836)
Si (0.6836, 0.6836, 0.3164)
Si (0.6836, 0.6836, 0.6836)
Si (0.6921, 0.0000, 0.1172)
Si (0.6921, 0.0000, 0.8828)
Si (0.7500, 0.5000, 0.0000)
Si (0.8079, 0.3828, 0.5000)
Si (0.8079, 0.6172, 0.5000)
Si (0.8164, 0.1836, 0.1836)
Si (0.8164, 0.1836, 0.8164)
Si (0.8164, 0.8164, 0.1836)
Si (0.8164, 0.8164, 0.8164)
Si (0.8828, 0.3079, 0.0000)
Si (0.8828, 0.6921, 0.0000)


# ReBiO3
Theoretical powder diffractogram, Cu Kα. Input: the PBE geometry in the Materials Project.
Kinematic intensities with the Lorentz-polarization factor, no thermal factor.

The 6 most intense peaks (2θ = 10–90°), by angle:
31.44 deg, I 100; 45.07 deg, I 26; 55.98 deg, I 41; 65.63 deg, I 17; 74.59 deg, I 18; 83.17 deg, I 6

abc: 4.0234 4.0234 4.0234
angles: 90.00 90.00 90.00
Atoms (fractional coordinates):
Re (0.0000, 0.0000, 0.0000)
Bi (0.5000, 0.5000, 0.5000)
O (0.0000, 0.0000, 0.5000)
O (0.0000, 0.5000, 0.0000)
O (0.5000, 0.0000, 0.0000)


# CdC2N4O4
Theoretical powder diffractogram, Cu Kα. Input: the PBE geometry in the Materials Project.
Kinematic intensities with the Lorentz-polarization factor, no thermal factor.

The 6 most intense peaks (2θ = 10–90°), by angle:
10.92 deg, I 66; 15.21 deg, I 89; 18.76 deg, I 100; 19.43 deg, I 48; 30.30 deg, I 58; 34.23 deg, I 48

abc: 6.8529 11.0606 8.1016
angles: 90.00 90.00 90.00
Atoms (fractional coordinates):
Cd (0.0000, 0.0000, 0.0821)
Cd (0.5000, 0.5000, 0.9179)
C (0.2294, 0.8175, 0.8051)
C (0.2706, 0.3175, 0.1949)
C (0.7294, 0.6825, 0.1949)
C (0.7706, 0.1825, 0.8051)
N (0.1635, 0.7471, 0.4014)
N (0.2459, 0.8106, 0.3205)
N (0.2541, 0.3106, 0.6795)
N (0.3365, 0.2471, 0.5986)
N (0.6635, 0.7529, 0.5986)
N (0.7459, 0.6894, 0.6795)
N (0.7541, 0.1894, 0.3205)
N (0.8365, 0.2529, 0.4014)
O (0.1769, 0.7265, 0.8663)
O (0.2176, 0.4067, 0.2598)
O (0.2824, 0.9067, 0.7402)
O (0.3231, 0.2265, 0.1337)
O (0.6769, 0.7735, 0.1337)
O (0.7176, 0.0933, 0.7402)
O (0.7824, 0.5933, 0.2598)
O (0.8231, 0.2735, 0.8663)


# MoW11
Theoretical powder diffractogram, Cu Kα. Input: the PBE geometry in the Materials Project.
Kinematic intensities with the Lorentz-polarization factor, no thermal factor.

The 6 most intense peaks (2θ = 10–90°), by angle:
19.31 deg, I 81; 34.55 deg, I 56; 39.15 deg, I 80; 39.26 deg, I 40; 53.22 deg, I 100; 86.00 deg, I 26

abc: 2.5962 5.3193 18.3562
angles: 90.00 90.00 90.00
Atoms (fractional coordinates):
Mo (0.0000, 0.0000, 0.0000)
W (0.0000, 0.0000, 0.5000)
W (0.0000, 0.2499, 0.1249)
W (0.0000, 0.2505, 0.3752)
W (0.0000, 0.2505, 0.6248)
W (0.0000, 0.2499, 0.8751)
W (0.0000, 0.5000, 0.2495)
W (0.0000, 0.5000, 0.7505)
W (0.0000, 0.7501, 0.1249)
W (0.0000, 0.7495, 0.3752)
W (0.0000, 0.7495, 0.6248)
W (0.0000, 0.7501, 0.8751)


# CeInNi4
Theoretical powder diffractogram, Cu Kα. Input: the PBE geometry in the Materials Project.
Kinematic intensities with the Lorentz-polarization factor, no thermal factor.

The 6 most intense peaks (2θ = 10–90°), by angle:
35.96 deg, I 54; 42.44 deg, I 100; 44.42 deg, I 20; 64.64 deg, I 19; 69.09 deg, I 30; 76.24 deg, I 22

abc: 4.9951 4.9951 4.9951
angles: 60.00 60.00 60.00
Atoms (fractional coordinates):
Ce (0.0000, 0.0000, 0.0000)
In (0.7500, 0.7500, 0.7500)
Ni (0.3760, 0.3760, 0.3760)
Ni (0.3760, 0.3760, 0.8719)
Ni (0.3760, 0.8719, 0.3760)
Ni (0.8719, 0.3760, 0.3760)


# Rb2MgO2
Theoretical powder diffractogram, Cu Kα. Input: the PBE geometry in the Materials Project.
Kinematic intensities with the Lorentz-polarization factor, no thermal factor.

The 6 most intense peaks (2θ = 10–90°), by angle:
27.45 deg, I 89; 28.87 deg, I 100; 29.03 deg, I 61; 31.41 deg, I 84; 32.05 deg, I 55; 33.32 deg, I 66

abc: 9.7801 6.4893 16.2092
angles: 90.00 118.31 90.00
Atoms (fractional coordinates):
Rb (0.0685, 0.0652, 0.1210)
Rb (0.0685, 0.4348, 0.6210)
Rb (0.1806, 0.5841, 0.2600)
Rb (0.1806, 0.9159, 0.7600)
Rb (0.3527, 0.6679, 0.5294)
Rb (0.3527, 0.8321, 0.0294)
Rb (0.4205, 0.1288, 0.6650)
Rb (0.4205, 0.3712, 0.1650)
Rb (0.5795, 0.6288, 0.8350)
Rb (0.5795, 0.8712, 0.3350)
Rb (0.6473, 0.1679, 0.9706)
Rb (0.6473, 0.3321, 0.4706)
Rb (0.8194, 0.0841, 0.2400)
Rb (0.8194, 0.4159, 0.7400)
Rb (0.9315, 0.5652, 0.3790)
Rb (0.9315, 0.9348, 0.8790)
Mg (0.0881, 0.0498, 0.4597)
Mg (0.0881, 0.4502, 0.9597)
Mg (0.2567, 0.1285, 0.3726)
Mg (0.2567, 0.3715, 0.8726)
Mg (0.7433, 0.6285, 0.1274)
Mg (0.7433, 0.8715, 0.6274)
Mg (0.9119, 0.5498, 0.0403)
Mg (0.9119, 0.9502, 0.5403)
O (0.1169, 0.5979, 0.8578)
O (0.1169, 0.9021, 0.3578)
O (0.1289, 0.6285, 0.0703)
O (0.1289, 0.8715, 0.5703)
O (0.2399, 0.2253, 0.9727)
O (0.2399, 0.2747, 0.4727)
O (0.3622, 0.1956, 0.3033)
O (0.3622, 0.3044, 0.8033)
O (0.6378, 0.6956, 0.1967)
O (0.6378, 0.8044, 0.6967)
O (0.7601, 0.7253, 0.5273)
O (0.7601, 0.7747, 0.0273)
O (0.8711, 0.1285, 0.4297)
O (0.8711, 0.3715, 0.9297)
O (0.8831, 0.0979, 0.6422)
O (0.8831, 0.4021, 0.1422)


# NdInNi4
Theoretical powder diffractogram, Cu Kα. Input: the PBE geometry in the Materials Project.
Kinematic intensities with the Lorentz-polarization factor, no thermal factor.

The 6 most intense peaks (2θ = 10–90°), by angle:
35.51 deg, I 55; 41.90 deg, I 100; 43.86 deg, I 20; 63.76 deg, I 19; 68.14 deg, I 30; 75.16 deg, I 23

abc: 5.0563 5.0563 5.0563
angles: 60.00 60.00 60.00
Atoms (fractional coordinates):
Nd (0.0000, 0.0000, 0.0000)
In (0.2500, 0.2500, 0.2500)
Ni (0.1294, 0.6235, 0.6235)
Ni (0.6235, 0.1294, 0.6235)
Ni (0.6235, 0.6235, 0.1294)
Ni (0.6235, 0.6235, 0.6235)